The following is a simulated powder XRD pattern of Sr4Ga3Rh. It was derived from the GGA-PBE geometry in Alexandria, using CuKα.
Peak positions follow from Bragg's law for the DFT cell and can differ from measured ones.

Cell and atoms:
Unit cell a=4.410 b=4.707 c=11.668 alpha=90.00 beta=90.00 gamma=90.00
Sites, in units of the cell vectors:
Sr (0.000, 0.000, 0.000)
Sr (0.000, 0.500, 0.481)
Sr (0.500, 0.000, 0.707)
Sr (0.500, 0.500, 0.206)
Ga (0.000, 0.500, 0.791)
Ga (0.500, 0.000, 0.399)
Ga (0.500, 0.500, 0.911)
Rh (0.000, 0.000, 0.298)

Principal peaks in the range 15 to 90 degrees two-theta, in order of rising 2θ:
d_spacing, I_rel
5.834, 246
3.102, 1000
2.998, 704
2.479, 706
2.433, 366
2.353, 359
2.205, 295
1.777, 500
1.691, 236
1.609, 216

=====

The following is a simulated powder XRD pattern of NbSnPd4. It was derived from the GGA-PBE geometry in Alexandria, using CuKα.
Peak positions follow from Bragg's law for the DFT cell and can differ from measured ones.

Cell and atoms:
Unit cell a=8.932 b=8.146 c=5.522 alpha=79.06 beta=63.56 gamma=37.37
Sites, in units of the cell vectors:
Nb (0.125, 0.125, 0.125)
Nb (0.875, 0.875, 0.875)
Sn (0.375, 0.375, 0.375)
Sn (0.625, 0.625, 0.625)
Pd (0.031, 0.531, 0.211)
Pd (0.211, 0.727, 0.031)
Pd (0.273, 0.789, 0.469)
Pd (0.469, 0.969, 0.273)
Pd (0.531, 0.031, 0.727)
Pd (0.727, 0.211, 0.531)
Pd (0.789, 0.273, 0.969)
Pd (0.969, 0.469, 0.789)

Principal peaks in the range 15 to 90 degrees two-theta, in order of rising 2θ:
d_spacing, I_rel
2.727, 580
2.343, 546
2.229, 848
2.076, 1000
1.777, 323
1.349, 170
1.330, 157
1.295, 211
1.222, 240
1.169, 214